Computed powder diffraction line list of SmHo4In3 for CuKα, from a DFT-relaxed cell (PBE, Alexandria).
Lines closer than 0.1° are merged.

Largest 6 diffraction maxima, low angle first, 5 to 70 degrees two-theta:
29.93°, d 2.985, I 13
32.57°, d 2.749, I 87
33.54°, d 2.672, I 100
47.45°, d 1.916, I 30
59.35°, d 1.557, I 31
59.96°, d 1.543, I 19

Cell and atoms:
abc: 9.622 9.622 9.622
angles: 32.25 32.25 32.25
Fractional positions:
Sm 0.000 0.000 0.000
Ho 0.129 0.129 0.129
Ho 0.387 0.387 0.387
Ho 0.613 0.613 0.613
Ho 0.871 0.871 0.871
In 0.263 0.263 0.263
In 0.500 0.500 0.500
In 0.737 0.737 0.737